This entry pairs a crystal structure of Li2CrCuF6 with its simulated X-ray powder pattern. Radiation: Cu Kα X-rays. Structure: a DFT-relaxed cell (GGA+U, the Materials Project).
Peak positions follow from Bragg's law for the DFT cell and can differ from measured ones.

Crystal structure
Unit cell a=5.712 b=5.712 c=5.712 alpha=60.00 beta=60.00 gamma=60.00
Element x y z (fractional)
Li 0.250 0.250 0.250
Li 0.750 0.750 0.750
Cr 0.000 0.000 0.000
Cu 0.500 0.500 0.500
F 0.240 0.240 0.760
F 0.240 0.760 0.240
F 0.240 0.760 0.760
F 0.760 0.240 0.240
F 0.760 0.240 0.760
F 0.760 0.760 0.240

Largest 8 diffraction maxima, by angle, 2θ = 15–90°:
Position (°2θ)	I_rel
22.0	100
31.3	30
44.9	36
50.5	36
55.7	11
65.3	19
69.9	15
87.0	6